For Ac5La2Pt5, a crystal structure in Alexandria, relaxed with GGA-PBE gives the simulated XRD peak list in this record (CuKα).

Cell: 14.3788 4.2738 13.0205 Å, 90.00 104.76 90.00°
Space group C2/m (No. 12)
Inequivalent atoms, fractional coordinates:
Ac1 0.0000 0.0000 0.0000 [2 per cell]
Ac2 0.1548 0.0000 0.5517 [4 per cell]
Ac3 0.2419 0.0000 0.8587 [4 per cell]
La1 0.0405 0.5000 0.2863 [4 per cell]
Pt1 0.0000 0.5000 0.5000 [2 per cell]
Pt2 0.1151 0.5000 0.9198 [4 per cell]
Pt3 0.1897 0.0000 0.3169 [4 per cell]

Top 10 peaks for 10 to 90 degrees two-theta, in order of rising 2θ:
(hkl)	2theta	I/Imax
2 0 2	21.32	21
2 0 3	27.48	36
2 0 -4	28.03	100
3 1 0	28.40	25
3 1 -2	29.50	48
3 1 1	30.49	33
3 1 -3	32.51	23
1 1 -4	34.65	29
5 1 1	40.85	22
0 2 0	42.29	36